Calculated XRD peak list
Compound: BaUVO5
Radiation: Cu Kα X-rays
Structure: a crystal structure in Alexandria, relaxed with GGA+U

Structural model:
Lattice parameters (Å, degrees): 6.2600 6.2600 8.0820 104.30 104.30 106.66
Positions (direct):
Ba  0.1685  0.8315  0.7500
Ba  0.8315  0.1685  0.2500
U  0.5000  0.5000  0.0000
U  0.5000  0.5000  0.5000
V  0.1873  0.8127  0.2500
V  0.8127  0.1873  0.7500
O  0.1343  0.2586  0.9013
O  0.2062  0.6120  0.3972
O  0.2586  0.1343  0.4013
O  0.3880  0.7938  0.1028
O  0.4325  0.5675  0.7500
O  0.5675  0.4325  0.2500
O  0.6120  0.2062  0.8972
O  0.7414  0.8657  0.5987
O  0.7938  0.3880  0.6028
O  0.8657  0.7414  0.0987

Principal peaks in the range 15° ≤ 2θ ≤ 90°, low angle first:
- 15.73 deg, rel. 58
- 23.93 deg, rel. 100
- 26.18 deg, rel. 64
- 29.74 deg, rel. 81
- 30.11 deg, rel. 54
- 32.76 deg, rel. 31
- 33.33 deg, rel. 27
- 48.46 deg, rel. 25